Record 1
Simulated powder XRD pattern of BF2 for a wavelength of 1.5418 Å, from a cell relaxed with GGA-PBE.
Intensities are scaled so that the largest is 100.

Cell and atoms:
```
BF2
1.0
4.9339 0.0000 0.0000
0.0000 6.6667 0.0000
-3.7230 0.0000 5.4522
B F
4 8
Cartesian
0.2108 0.4301 0.7142
-1.6507 2.9033 3.4403
2.8617 3.7634 2.0119
1.0002 6.2366 4.7380
-0.6115 1.3458 1.2446
-2.4730 1.9875 3.9707
1.3589 0.2212 1.3559
-0.5025 3.1122 4.0820
1.7135 3.5545 1.3702
-0.1480 6.4455 4.0964
3.6839 4.6792 1.4815
1.8225 5.3208 4.2076
```

Top 6 peaks for 2θ from 10° to 90°, in order of rising 2θ:
- 22.8°, 3.904 Å, I = 82
- 30.4°, 2.939 Å, I = 29
- 31.5°, 2.844 Å, I = 81
- 32.9°, 2.726 Å, I = 100
- 34.8°, 2.580 Å, I = 95
- 38.5°, 2.336 Å, I = 96

=====

Record 2
Simulated powder XRD pattern of BF3 for a wavelength of 1.5418 Å, from a cell relaxed with GGA-PBE.
Intensities are scaled so that the largest is 100.

Cell and atoms:
```
BF3
1.0
4.8141 0.0000 0.0000
2.2333 7.1789 0.0000
0.2090 0.6926 14.2930
B F
8 24
Cartesian
0.6252 1.7011 1.6654
1.8135 5.4433 5.4858
3.5769 5.9360 9.0757
2.5188 2.4737 12.3504
4.7376 5.3978 1.9426
3.6795 1.9356 5.2172
5.4429 2.4283 8.8071
6.6312 6.1705 12.6276
2.2624 6.6728 5.2407
1.1174 2.9359 1.7488
1.7900 2.6095 8.1986
3.0026 6.3827 13.1763
1.3335 0.6816 2.1461
2.5423 4.3968 5.1065
1.8745 2.2271 11.2110
2.9596 5.6557 10.2231
2.9861 5.6200 7.9269
1.9572 2.1220 13.5039
3.5497 4.8146 1.9628
2.4893 1.3569 5.2092
4.7671 6.5147 9.0838
3.7066 3.0570 12.3302
5.2991 5.7496 0.7890
4.2703 2.2515 6.3660
4.2968 2.2159 4.0699
5.3818 5.6445 3.0820
4.7141 3.4748 9.1865
5.9228 7.1899 12.1468
4.2538 1.4888 1.1167
5.4664 5.2620 6.0944
6.1390 4.9357 12.5442
4.9940 1.1988 9.0522
```

Top 6 peaks for 2θ from 10° to 90°, in order of rising 2θ:
- 22.9°, 3.878 Å, I = 38
- 23.6°, 3.774 Å, I = 30
- 24.9°, 3.579 Å, I = 100
- 28.6°, 3.124 Å, I = 21
- 36.4°, 2.469 Å, I = 21
- 37.0°, 2.427 Å, I = 38

=====

Record 3
Simulated powder XRD pattern of Gd3B2O6F3 for a wavelength of 1.5418 Å, from a cell relaxed with GGA-PBE.
Intensities are scaled so that the largest is 100.

Cell and atoms:
```
Gd3B2O6F3
1.0
6.4287 -3.1184 0.0000
6.4287 3.1184 0.0000
-1.0015 0.0000 8.3043
Gd B O F
6 4 12 6
Cartesian
5.6776 2.4718 6.2282
3.8191 0.6748 2.6588
3.3184 -0.6748 6.8109
8.5375 0.6748 1.4934
8.0368 -0.6748 5.6456
6.1783 -2.4718 2.0761
2.3027 0.5670 0.1778
1.8019 -0.5670 4.3299
10.0540 0.5670 3.9744
9.5532 -0.5670 8.1266
1.0643 0.6128 7.1153
3.6402 1.6743 7.1927
2.7793 0.3406 4.7743
1.5650 -0.6128 2.9632
3.2800 -0.3406 0.6222
7.7150 1.6743 5.2638
4.1409 -1.6743 3.0405
8.5759 0.3406 7.6822
10.2909 0.6128 5.3412
9.0766 -0.3406 3.5300
8.2157 -1.6743 1.1117
10.7916 -0.6128 1.1890
5.2958 1.9992 3.8082
7.0608 1.9992 0.3440
5.6776 0.1357 6.2282
6.1783 -0.1357 2.0761
4.7951 -1.9992 7.9604
6.5601 -1.9992 4.4961
```

Top 6 peaks for 2θ from 10° to 90°, in order of rising 2θ:
- 21.4°, 4.152 Å, I = 75
- 25.3°, 3.515 Å, I = 100
- 26.5°, 3.358 Å, I = 56
- 28.5°, 3.127 Å, I = 57
- 30.6°, 2.919 Å, I = 95
- 49.4°, 1.844 Å, I = 51